Theoretical powder diffractogram
Compound: AlCd2MoO6
Radiation: a wavelength of 1.5418 Å
Structure: a PBE+U-relaxed structure
Intensities are scaled so that the largest is 100.

Atomic structure:
Cell lengths 5.1851, 5.1851, 4.8447 Å; angles 90.00, 90.00, 90.00 degrees
Space group P4mm (No. 99)
One atom of each set of equivalent atoms:
Al (0.0000, 0.0000, 0.0000) (multiplicity 1)
Cd (0.0000, 0.5000, 0.4265) (multiplicity 2)
Mo (0.5000, 0.5000, 0.9820) (multiplicity 1)
O (0.0000, 0.0000, 0.6300) (multiplicity 1)
O (0.2471, 0.2471, 0.1180) (multiplicity 4)
O (0.5000, 0.5000, 0.6118) (multiplicity 1)

Peak list (12 most intense, 10° ≤ 2θ ≤ 90°, by angle)
- (0 0 1), 2θ 18.31, 4.845 Å, I 12.5
- (1 1 1), 2θ 30.58, 2.924 Å, I 100.0
- (2 0 0), 2θ 34.60, 2.593 Å, I 33.0
- (0 0 2), 2θ 37.11, 2.422 Å, I 11.0
- (2 0 1), 2θ 39.42, 2.286 Å, I 10.6
- (1 1 2), 2θ 44.85, 2.021 Å, I 11.2
- (2 2 0), 2θ 49.74, 1.833 Å, I 21.7
- (2 0 2), 2θ 51.64, 1.770 Å, I 23.8
- (3 1 1), 2θ 59.52, 1.553 Å, I 28.6
- (1 1 3), 2θ 62.88, 1.478 Å, I 11.6
- (2 2 2), 2θ 63.66, 1.462 Å, I 8.9
- (3 1 3), 2θ 84.15, 1.150 Å, I 12.7